# 1
# CeCd11
Computed X-ray powder pattern, Cu Kα (λ = 1.5418 Å). Input: DFT lattice parameters and positions (GGA-PBE).

The 10 most intense peaks (2θ from 5° to 70°), by angle:
| two_theta | Rel. int. |
| --- | --- |
| 29.71 | 37 |
| 31.19 | 88 |
| 32.62 | 79 |
| 33.99 | 45 |
| 39.05 | 100 |
| 40.23 | 68 |
| 43.62 | 51 |
| 54.59 | 22 |
| 62.54 | 31 |
| 65.06 | 19 |

Crystal structure
Lattice parameters (Å, degrees): 9.510 9.510 9.510 90.00 90.00 90.00
Sites, in units of the cell vectors:
Ce  0.000  0.000  0.500
Ce  0.000  0.500  0.000
Ce  0.500  0.000  0.000
Cd  0.000  0.345  0.345
Cd  0.000  0.345  0.655
Cd  0.000  0.655  0.345
Cd  0.000  0.655  0.655
Cd  0.155  0.155  0.155
Cd  0.155  0.155  0.845
Cd  0.155  0.845  0.155
Cd  0.155  0.845  0.845
Cd  0.267  0.267  0.500
Cd  0.267  0.500  0.267
Cd  0.267  0.500  0.733
Cd  0.267  0.733  0.500
Cd  0.345  0.000  0.345
Cd  0.345  0.000  0.655
Cd  0.345  0.345  0.000
Cd  0.345  0.655  0.000
Cd  0.500  0.267  0.267
Cd  0.500  0.267  0.733
Cd  0.500  0.500  0.500
Cd  0.500  0.733  0.267
Cd  0.500  0.733  0.733
Cd  0.655  0.000  0.345
Cd  0.655  0.000  0.655
Cd  0.655  0.345  0.000
Cd  0.655  0.655  0.000
Cd  0.733  0.267  0.500
Cd  0.733  0.500  0.267
Cd  0.733  0.500  0.733
Cd  0.733  0.733  0.500
Cd  0.845  0.155  0.155
Cd  0.845  0.155  0.845
Cd  0.845  0.845  0.155
Cd  0.845  0.845  0.845

# 2
# CeCd2
Computed X-ray powder pattern, Cu Kα (λ = 1.5418 Å). Input: DFT lattice parameters and positions (GGA-PBE).

The 10 most intense peaks (2θ from 5° to 70°), by angle:
| two_theta | Rel. int. |
| --- | --- |
| 28.93 | 40 |
| 31.99 | 100 |
| 34.45 | 7 |
| 43.67 | 77 |
| 57.01 | 19 |
| 59.95 | 4 |
| 63.24 | 4 |
| 65.19 | 23 |
| 66.88 | 11 |
| 69.57 | 15 |

Crystal structure
Lattice parameters (Å, degrees): 5.596 5.596 3.086 90.00 90.00 120.00
Sites, in units of the cell vectors:
Ce  0.000  0.000  0.000
Cd  0.333  0.667  0.944
Cd  0.667  0.333  0.056

# 3
# CeCd
Computed X-ray powder pattern, Cu Kα (λ = 1.5418 Å). Input: DFT lattice parameters and positions (GGA-PBE).

The 6 most intense peaks (2θ from 5° to 70°), by angle:
| two_theta | Rel. int. |
| --- | --- |
| 23.10 | 1 |
| 32.90 | 100 |
| 47.21 | 18 |
| 53.19 | 1 |
| 58.74 | 37 |
| 68.98 | 11 |

Crystal structure
Lattice parameters (Å, degrees): 3.850 3.850 3.850 90.00 90.00 90.00
Sites, in units of the cell vectors:
Ce  0.000  0.000  0.000
Cd  0.500  0.500  0.500

# 4
# CsCeCdSe3
Computed X-ray powder pattern, Cu Kα (λ = 1.5418 Å). Input: DFT lattice parameters and positions (GGA-PBE).

The 10 most intense peaks (2θ from 5° to 70°), by angle:
| two_theta | Rel. int. |
| --- | --- |
| 10.93 | 64 |
| 25.94 | 33 |
| 27.11 | 100 |
| 30.29 | 47 |
| 30.93 | 44 |
| 37.73 | 45 |
| 40.58 | 36 |
| 47.40 | 34 |
| 50.39 | 26 |
| 51.88 | 20 |

Crystal structure
Lattice parameters (Å, degrees): 8.393 8.393 11.563 90.00 90.00 149.28
Sites, in units of the cell vectors:
Cs  0.242  0.758  0.750
Cs  0.758  0.242  0.250
Ce  0.500  0.500  0.000
Ce  0.500  0.500  0.500
Cd  0.039  0.961  0.250
Cd  0.961  0.039  0.750
Se  0.120  0.880  0.053
Se  0.120  0.880  0.447
Se  0.440  0.560  0.250
Se  0.560  0.440  0.750
Se  0.880  0.120  0.553
Se  0.880  0.120  0.947

# 5
# CeCdCu
Computed X-ray powder pattern, Cu Kα (λ = 1.5418 Å). Input: DFT lattice parameters and positions (GGA-PBE).

The 10 most intense peaks (2θ from 5° to 70°), by angle:
| two_theta | Rel. int. |
| --- | --- |
| 32.39 | 100 |
| 35.28 | 79 |
| 36.50 | 54 |
| 41.60 | 22 |
| 42.92 | 16 |
| 44.46 | 24 |
| 55.65 | 21 |
| 58.83 | 26 |
| 62.51 | 13 |
| 66.67 | 24 |

Crystal structure
Lattice parameters (Å, degrees): 7.521 7.521 4.075 90.00 90.00 120.00
Sites, in units of the cell vectors:
Ce  0.000  0.589  0.000
Ce  0.411  0.411  0.000
Ce  0.589  0.000  0.000
Cd  0.000  0.250  0.500
Cd  0.250  0.000  0.500
Cd  0.750  0.750  0.500
Cu  0.000  0.000  0.000
Cu  0.333  0.667  0.500
Cu  0.667  0.333  0.500

# 6
# CeCdCu
Computed X-ray powder pattern, Cu Kα (λ = 1.5418 Å). Input: DFT lattice parameters and positions (GGA-PBE).

The 10 most intense peaks (2θ from 5° to 70°), by angle:
| two_theta | Rel. int. |
| --- | --- |
| 21.36 | 12 |
| 34.92 | 100 |
| 37.45 | 78 |
| 43.51 | 2 |
| 52.13 | 31 |
| 56.33 | 8 |
| 58.73 | 2 |
| 65.94 | 30 |
| 67.56 | 13 |
| 69.61 | 24 |

Crystal structure
Lattice parameters (Å, degrees): 4.803 4.803 3.267 90.00 90.00 120.00
Sites, in units of the cell vectors:
Ce  0.000  0.000  0.000
Cd  0.333  0.667  0.500
Cu  0.667  0.333  0.500

# 7
# Ce2CdHg
Computed X-ray powder pattern, Cu Kα (λ = 1.5418 Å). Input: DFT lattice parameters and positions (GGA-PBE).

The 8 most intense peaks (2θ from 5° to 70°), by angle:
| two_theta | Rel. int. |
| --- | --- |
| 19.97 | 4 |
| 32.90 | 100 |
| 38.78 | 3 |
| 47.21 | 18 |
| 51.74 | 1 |
| 58.74 | 38 |
| 62.69 | 1 |
| 68.98 | 12 |

Crystal structure
Lattice parameters (Å, degrees): 7.701 7.701 7.701 90.00 90.00 90.00
Sites, in units of the cell vectors:
Ce  0.250  0.250  0.250
Ce  0.250  0.250  0.750
Ce  0.250  0.750  0.250
Ce  0.250  0.750  0.750
Ce  0.750  0.250  0.250
Ce  0.750  0.250  0.750
Ce  0.750  0.750  0.250
Ce  0.750  0.750  0.750
Cd  0.000  0.000  0.000
Cd  0.000  0.500  0.500
Cd  0.500  0.000  0.500
Cd  0.500  0.500  0.000
Hg  0.000  0.000  0.500
Hg  0.000  0.500  0.000
Hg  0.500  0.000  0.000
Hg  0.500  0.500  0.500

# 8
# CeCdHg2
Computed X-ray powder pattern, Cu Kα (λ = 1.5418 Å). Input: DFT lattice parameters and positions (GGA-PBE).

The 6 most intense peaks (2θ from 5° to 70°), by angle:
| two_theta | Rel. int. |
| --- | --- |
| 24.13 | 6 |
| 34.39 | 100 |
| 42.45 | 2 |
| 49.43 | 18 |
| 55.73 | 3 |
| 61.60 | 37 |

Crystal structure
Lattice parameters (Å, degrees): 7.376 7.376 7.376 90.00 90.00 90.00
Sites, in units of the cell vectors:
Ce  0.000  0.000  0.000
Ce  0.000  0.500  0.500
Ce  0.500  0.000  0.500
Ce  0.500  0.500  0.000
Cd  0.000  0.000  0.500
Cd  0.000  0.500  0.000
Cd  0.500  0.000  0.000
Cd  0.500  0.500  0.500
Hg  0.250  0.250  0.250
Hg  0.250  0.250  0.750
Hg  0.250  0.750  0.250
Hg  0.250  0.750  0.750
Hg  0.750  0.250  0.250
Hg  0.750  0.250  0.750
Hg  0.750  0.750  0.250
Hg  0.750  0.750  0.750